# 1
Computed XRD peak list
Compound: Ni3C
Radiation: Cu Kα, 1.54184 Å
Structure: the PBE geometry in Alexandria
Neutral-atom scattering factors, no anomalous dispersion.

Principal peaks in the range 10 to 90 degrees two-theta, sorted by position:
35.79°, rel. 1; 39.27°, rel. 20; 41.89°, rel. 25; 44.74°, rel. 100; 58.76°, rel. 16; 71.19°, rel. 16; 78.51°, rel. 17; 84.45°, rel. 2; 86.16°, rel. 16; 88.12°, rel. 12

Crystal structure
a b c (Å): 4.5883 4.5883 12.9395
angles (deg): 90.00 90.00 120.00
Space group R-3c (No. 167, hexagonal axes)
Asymmetric unit:
Ni  0.0000  0.3281  0.2500 [18 per cell]
C  0.0000  0.0000  0.0000 [6 per cell]

# 2
Computed XRD peak list
Compound: LiCuPdO4
Radiation: Cu Kα, 1.54184 Å
Structure: the PBE geometry in Alexandria
Neutral-atom scattering factors, no anomalous dispersion.

Principal peaks in the range 10 to 90 degrees two-theta, sorted by position:
17.89°, rel. 44; 18.25°, rel. 100; 34.84°, rel. 54; 35.44°, rel. 14; 36.23°, rel. 18; 36.99°, rel. 16; 42.04°, rel. 24; 42.77°, rel. 46; 56.85°, rel. 15; 61.53°, rel. 29

Crystal structure
a b c (Å): 5.8919 6.0708 8.5967
angles (deg): 90.00 90.00 90.00
Space group Imma (No. 74)
Asymmetric unit:
Li  0.0000  0.2500  0.1364 [4 per cell]
Cu  0.2500  0.2500  0.7500 [4 per cell]
Pd  0.0000  0.0000  0.5000 [4 per cell]
O  0.0000  0.0278  0.7350 [8 per cell]
O  0.2283  0.2500  0.5098 [8 per cell]